Record 1
The following is a computed PXRD pattern of LiMg14Nb. It was derived from a GGA-PBE-relaxed structure, using Cu Kα, 1.54184 Å.
Neutral-atom scattering factors, no anomalous dispersion.

Crystal structure
abc: 10.050 6.376 10.964
angles: 90.00 90.00 90.00
Space group Amm2 (No. 38)
Symmetry-distinct sites (fractional):
Li1 0.000 0.000 0.000 x2
Mg1 0.000 0.246 0.753 x4
Mg2 0.243 0.245 0.421 x8
Mg3 0.245 0.000 0.664 x4
Mg4 0.247 0.000 0.168 x4
Mg5 0.500 0.000 0.001 x2
Mg6 0.500 0.000 0.502 x2
Mg7 0.500 0.250 0.252 x4
Nb1 0.000 0.000 0.501 x2

The 10 most intense peaks (15° ≤ 2θ ≤ 90°), by angle:
hkl, d/Å, intensity
0 1 1, 5.508, 27
1 1 1, 4.830, 36
2 1 1, 3.712, 17
0 2 2, 2.756, 25
4 0 0, 2.512, 37
2 2 2, 2.416, 100
2 0 4, 2.406, 49
0 2 6, 1.585, 17
6 2 2, 1.431, 18
4 2 6, 1.341, 19

=====

Record 2
The following is a computed PXRD pattern of ErP2Ru2. It was derived from a GGA-PBE-relaxed structure, using Cu Kα, 1.54184 Å.
Neutral-atom scattering factors, no anomalous dispersion.

Crystal structure
abc: 4.053 4.053 9.501
angles: 90.00 90.00 90.00
Space group I4/mmm (No. 139)
Symmetry-distinct sites (fractional):
Er1 0.000 0.000 0.000 x2
P1 0.000 0.000 0.376 x4
Ru1 0.000 0.500 0.250 x4

The 10 most intense peaks (15° ≤ 2θ ≤ 90°), by angle:
hkl, d/Å, intensity
1 0 1, 3.728, 31
1 0 3, 2.495, 33
1 1 2, 2.454, 100
0 0 4, 2.375, 16
2 0 0, 2.026, 38
2 1 3, 1.573, 16
2 0 4, 1.542, 17
2 2 0, 1.433, 12
1 1 6, 1.386, 16
3 1 2, 1.237, 22

=====

Record 3
The following is a computed PXRD pattern of RbAs2Rh2. It was derived from a GGA-PBE-relaxed structure, using Cu Kα, 1.54184 Å.
Neutral-atom scattering factors, no anomalous dispersion.

Crystal structure
abc: 4.061 4.061 14.178
angles: 90.00 90.00 90.00
Space group I4/mmm (No. 139)
Symmetry-distinct sites (fractional):
Rb1 0.000 0.000 0.000 x2
As1 0.000 0.000 0.347 x4
Rh1 0.000 0.500 0.250 x4

The 10 most intense peaks (15° ≤ 2θ ≤ 90°), by angle:
hkl, d/Å, intensity
0 0 4, 3.544, 21
1 0 3, 3.080, 100
1 1 2, 2.662, 72
1 1 4, 2.231, 43
2 0 0, 2.031, 55
2 0 2, 1.952, 15
1 1 6, 1.825, 72
2 1 3, 1.695, 34
2 2 0, 1.436, 18
3 1 6, 1.128, 30

=====

Record 4
The following is a computed PXRD pattern of CaSn2O4. It was derived from a GGA-PBE-relaxed structure, using Cu Kα, 1.54184 Å.
Neutral-atom scattering factors, no anomalous dispersion.

Crystal structure
abc: 14.447 3.307 10.952
angles: 90.00 123.45 90.00
Space group C2/m (No. 12)
Symmetry-distinct sites (fractional):
Ca1 0.175 0.000 0.204 x4
Sn1 0.113 0.500 0.433 x4
Sn2 0.139 0.000 0.858 x4
O1 0.027 0.000 0.230 x4
O2 0.146 0.500 0.751 x4
O3 0.177 0.500 0.024 x4
O4 0.232 0.500 0.373 x4

The 10 most intense peaks (15° ≤ 2θ ≤ 90°), by angle:
hkl, d/Å, intensity
2 0 -2, 5.315, 100
4 0 -3, 3.198, 40
0 0 3, 3.046, 22
4 0 0, 3.014, 49
2 0 2, 2.943, 34
1 1 1, 2.883, 63
3 1 -1, 2.718, 50
1 1 -3, 2.384, 71
3 1 -4, 2.109, 39
7 1 -4, 1.715, 31

=====

Record 5
The following is a computed PXRD pattern of Ti2BRh6. It was derived from a GGA-PBE-relaxed structure, using Cu Kα, 1.54184 Å.
Neutral-atom scattering factors, no anomalous dispersion.

Crystal structure
abc: 7.915 7.915 7.915
angles: 90.00 90.00 90.00
Space group Fm-3m (No. 225)
Symmetry-distinct sites (fractional):
Ti1 0.250 0.250 0.250 x8
B1 0.000 0.000 0.000 x4
Rh1 0.000 0.000 0.258 x24

The 10 most intense peaks (15° ≤ 2θ ≤ 90°), by angle:
hkl, d/Å, intensity
2 0 0, 3.957, 10
2 2 0, 2.798, 6
2 2 2, 2.285, 100
4 0 0, 1.979, 50
4 2 0, 1.770, 4
4 2 2, 1.616, 3
4 4 0, 1.399, 31
6 0 0, 1.319, 2
6 2 2, 1.193, 34
4 4 4, 1.142, 10

=====

Record 6
The following is a computed PXRD pattern of MoS3N2Cl8. It was derived from a GGA-PBE-relaxed structure, using Cu Kα, 1.54184 Å.
Neutral-atom scattering factors, no anomalous dispersion.

Crystal structure
abc: 7.676 16.693 12.990
angles: 90.00 113.36 90.00
Space group P2_1/c (No. 14)
Symmetry-distinct sites (fractional):
Mo1 0.062 0.177 0.210 x4
S1 0.137 0.156 0.974 x4
S2 0.349 0.535 0.201 x4
S3 0.468 0.626 0.728 x4
N1 0.117 0.166 0.088 x4
N2 0.454 0.040 0.764 x4
Cl1 0.020 0.184 0.692 x4
Cl2 0.042 0.687 0.131 x4
Cl3 0.123 0.042 0.263 x4
Cl4 0.250 0.040 0.983 x4
Cl5 0.261 0.650 0.401 x4
Cl6 0.263 0.519 0.034 x4
Cl7 0.386 0.202 0.340 x4
Cl8 0.488 0.169 0.618 x4

The 10 most intense peaks (15° ≤ 2θ ≤ 90°), by angle:
hkl, d/Å, intensity
1 2 -1, 5.590, 69
1 2 0, 5.384, 53
1 3 -1, 4.471, 35
1 2 1, 4.430, 100
2 0 -2, 3.755, 32
2 2 0, 3.246, 56
1 1 -4, 3.186, 73
2 1 -4, 2.873, 46
0 6 0, 2.782, 60
2 0 2, 2.613, 44

=====

Record 7
The following is a computed PXRD pattern of MoS2. It was derived from a GGA-PBE-relaxed structure, using Cu Kα, 1.54184 Å.
Neutral-atom scattering factors, no anomalous dispersion.

Crystal structure
abc: 3.1906 3.1906 21.3182
angles: 90.00 90.00 120.00
Space group R3m (No. 160, hexagonal axes)
Symmetry-distinct sites (fractional):
Mo1 0.0000 0.0000 0.0000 x3
S1 0.0000 0.0000 0.2599 x3
S2 0.0000 0.0000 0.4068 x3

The 10 most intense peaks (15° ≤ 2θ ≤ 90°), by angle:
hkl, d/Å, intensity
1 0 1, 2.740, 75
0 1 2, 2.675, 70
1 0 4, 2.453, 87
0 1 5, 2.319, 100
1 0 7, 2.046, 86
0 1 8, 1.918, 62
1 0 10, 1.688, 24
1 1 0, 1.595, 49
1 1 3, 1.557, 42
1 1 12, 1.187, 30

=====

Record 8
The following is a computed PXRD pattern of LuMn3. It was derived from a GGA-PBE-relaxed structure, using Cu Kα, 1.54184 Å.
Neutral-atom scattering factors, no anomalous dispersion.

Crystal structure
abc: 4.047 4.047 4.047
angles: 90.00 90.00 90.00
Space group Pm-3m (No. 221)
Symmetry-distinct sites (fractional):
Lu1 0.000 0.000 0.000 x1
Mn1 0.000 0.500 0.500 x3

The 10 most intense peaks (15° ≤ 2θ ≤ 90°), by angle:
hkl, d/Å, intensity
1 0 0, 4.047, 36
1 1 0, 2.862, 31
1 1 1, 2.337, 100
2 0 0, 2.024, 48
2 1 0, 1.810, 17
2 1 1, 1.652, 13
2 2 0, 1.431, 30
3 0 0, 1.349, 9
3 1 1, 1.220, 35
2 2 2, 1.168, 10

=====

Record 9
The following is a computed PXRD pattern of Zr9Ni11. It was derived from a GGA-PBE-relaxed structure, using Cu Kα, 1.54184 Å.
Neutral-atom scattering factors, no anomalous dispersion.

Crystal structure
abc: 9.993 9.993 6.475
angles: 90.00 90.00 90.00
Space group I4/m (No. 87)
Symmetry-distinct sites (fractional):
Zr1 0.000 0.000 0.000 x2
Zr2 0.085 0.252 0.500 x8
Zr3 0.091 0.311 0.000 x8
Ni1 0.000 0.000 0.500 x2
Ni2 0.000 0.500 0.250 x4
Ni3 0.119 0.776 0.206 x16

The 10 most intense peaks (15° ≤ 2θ ≤ 90°), by angle:
hkl, d/Å, intensity
3 2 1, 2.548, 17
1 3 2, 2.261, 100
4 2 0, 2.235, 46
1 2 3, 1.944, 5
0 0 4, 1.619, 7
2 6 0, 1.580, 10
4 2 4, 1.311, 10
5 5 2, 1.295, 14
4 5 3, 1.265, 6
2 6 4, 1.131, 5

=====

Record 10
The following is a computed PXRD pattern of IrN. It was derived from a GGA-PBE-relaxed structure, using Cu Kα, 1.54184 Å.
Neutral-atom scattering factors, no anomalous dispersion.

Crystal structure
abc: 4.646 4.646 4.646
angles: 90.00 90.00 90.00
Space group F-43m (No. 216)
Symmetry-distinct sites (fractional):
Ir1 0.000 0.000 0.000 x4
N1 0.250 0.250 0.750 x4

The 6 most intense peaks (15° ≤ 2θ ≤ 90°), by angle:
hkl, d/Å, intensity
1 1 1, 2.682, 100
2 0 0, 2.323, 43
2 2 0, 1.643, 39
3 1 1, 1.401, 41
2 2 2, 1.341, 11
4 0 0, 1.161, 6

=====

Record 11
The following is a computed PXRD pattern of Ag2TeO6. It was derived from a GGA-PBE-relaxed structure, using Cu Kα, 1.54184 Å.
Neutral-atom scattering factors, no anomalous dispersion.

Crystal structure
abc: 6.039 6.125 8.997
angles: 80.80 70.75 60.94
Space group P1 (No. 1)
Symmetry-distinct sites (fractional):
Ag1 0.000 0.000 0.000 x1
Ag2 0.092 0.501 0.812 x1
Ag3 0.296 0.515 0.499 x1
Ag4 0.890 0.013 0.312 x1
Te1 0.510 0.884 0.159 x1
Te2 0.766 0.377 0.652 x1
O1 0.027 0.148 0.758 x1
O2 0.037 0.413 0.472 x1
O3 0.147 0.155 0.251 x1
O4 0.382 0.914 0.979 x1
O5 0.384 0.643 0.255 x1
O6 0.450 0.424 0.829 x1
O7 0.490 0.654 0.566 x1
O8 0.601 0.152 0.060 x1
O9 0.605 0.908 0.341 x1
O10 0.736 0.138 0.554 x1
O11 0.760 0.651 0.746 x1
O12 0.878 0.651 0.055 x1

The 10 most intense peaks (15° ≤ 2θ ≤ 90°), by angle:
hkl, d/Å, intensity
0 1 1, 4.529, 100
1 -1 0, 3.034, 15
1 1 -2, 2.861, 21
1 1 3, 2.848, 30
0 2 0, 2.677, 12
2 0 1, 2.639, 17
2 2 1, 2.621, 17
0 1 3, 2.503, 12
1 0 -3, 2.208, 13
1 0 4, 2.199, 13

=====

Record 12
The following is a computed PXRD pattern of SrRhF6. It was derived from a GGA-PBE-relaxed structure, using Cu Kα, 1.54184 Å.
Neutral-atom scattering factors, no anomalous dispersion.

Crystal structure
abc: 7.3613 7.3613 7.0903
angles: 90.00 90.00 120.00
Space group R-3m (No. 166, hexagonal axes)
Symmetry-distinct sites (fractional):
Sr1 0.0000 0.0000 0.0000 x3
Rh1 0.0000 0.0000 0.5000 x3
F1 0.0933 0.5466 0.3365 x18

The 10 most intense peaks (15° ≤ 2θ ≤ 90°), by angle:
hkl, d/Å, intensity
1 1 0, 3.681, 100
0 1 2, 3.098, 58
2 0 2, 2.370, 21
3 0 0, 2.125, 13
1 2 2, 1.993, 73
2 2 0, 1.840, 20
1 0 4, 1.708, 11
3 1 2, 1.582, 16
2 1 4, 1.428, 22
4 1 0, 1.391, 13